[1]
Mg2CdPb5: computed PXRD pattern (λ = 1.5418 Å (Cu Kα)), based on a crystal structure in Alexandria, relaxed with GGA-PBE.

Largest 10 diffraction maxima, by angle, 2θ = 5–70°:
| 2theta | I (rel.) |
| --- | --- |
| 19.76 | 112 |
| 25.15 | 128 |
| 32.18 | 1000 |
| 35.86 | 376 |
| 40.13 | 139 |
| 51.62 | 135 |
| 54.90 | 225 |
| 62.14 | 311 |
| 67.33 | 129 |
| 67.94 | 120 |

Cell and atoms:
Unit cell a=6.729 b=6.729 c=6.729 alpha=116.49 beta=116.49 gamma=96.20
Element x y z (fractional)
Mg 0.000 0.500 0.500
Mg 0.500 0.000 0.500
Cd 0.001 0.001 0.000
Pb 0.001 0.001 0.500
Pb 0.001 0.501 0.000
Pb 0.501 0.001 0.000
Pb 0.501 0.501 0.000
Pb 0.501 0.501 0.500

[2]
MgCdPb2: computed PXRD pattern (λ = 1.5418 Å (Cu Kα)), based on a crystal structure in Alexandria, relaxed with GGA-PBE.

Largest 10 diffraction maxima, by angle, 2θ = 5–70°:
| 2theta | I (rel.) |
| --- | --- |
| 20.21 | 363 |
| 25.12 | 220 |
| 32.46 | 1000 |
| 32.95 | 961 |
| 36.28 | 744 |
| 41.09 | 265 |
| 41.88 | 245 |
| 55.96 | 484 |
| 62.57 | 307 |
| 63.48 | 314 |

Cell and atoms:
Unit cell a=5.592 b=5.592 c=3.544 alpha=90.00 beta=90.00 gamma=103.56
Element x y z (fractional)
Mg 0.000 0.000 0.000
Cd 0.500 0.500 0.000
Pb 0.000 0.500 0.500
Pb 0.500 0.000 0.500

[3]
Mg5Cd6Pb: computed PXRD pattern (λ = 1.5418 Å (Cu Kα)), based on a crystal structure in Alexandria, relaxed with GGA-PBE.

Largest 10 diffraction maxima, by angle, 2θ = 5–70°:
| 2theta | I (rel.) |
| --- | --- |
| 11.92 | 207 |
| 20.11 | 223 |
| 25.98 | 146 |
| 34.25 | 1000 |
| 34.85 | 991 |
| 39.44 | 335 |
| 40.01 | 328 |
| 40.87 | 285 |
| 58.09 | 202 |
| 58.53 | 192 |

Cell and atoms:
Unit cell a=4.508 b=8.411 c=8.418 alpha=63.30 beta=75.70 gamma=75.70
Element x y z (fractional)
Mg 0.000 0.000 0.000
Mg 0.328 0.171 0.171
Mg 0.337 0.663 0.664
Mg 0.663 0.337 0.336
Mg 0.672 0.829 0.829
Cd 0.175 0.068 0.588
Cd 0.175 0.588 0.068
Cd 0.500 0.231 0.769
Cd 0.500 0.769 0.231
Cd 0.825 0.412 0.932
Cd 0.825 0.932 0.412
Pb 0.000 0.500 0.500

[4]
MgCdPb3: computed PXRD pattern (λ = 1.5418 Å (Cu Kα)), based on a crystal structure in Alexandria, relaxed with GGA-PBE.

Largest 10 diffraction maxima, by angle, 2θ = 5–70°:
| 2theta | I (rel.) |
| --- | --- |
| 20.48 | 222 |
| 24.80 | 235 |
| 31.51 | 945 |
| 31.98 | 182 |
| 32.76 | 1000 |
| 37.13 | 376 |
| 37.35 | 575 |
| 53.69 | 409 |
| 64.18 | 147 |
| 65.22 | 198 |

Cell and atoms:
Unit cell a=7.011 b=4.843 c=16.560 alpha=90.00 beta=90.00 gamma=90.00
Element x y z (fractional)
Mg 0.092 0.250 0.155
Mg 0.408 0.750 0.655
Mg 0.592 0.250 0.345
Mg 0.908 0.750 0.845
Cd 0.161 0.250 0.557
Cd 0.339 0.750 0.057
Cd 0.661 0.250 0.943
Cd 0.839 0.750 0.443
Pb 0.079 0.250 0.358
Pb 0.144 0.250 0.958
Pb 0.161 0.250 0.751
Pb 0.339 0.750 0.251
Pb 0.356 0.750 0.458
Pb 0.421 0.750 0.858
Pb 0.579 0.250 0.142
Pb 0.644 0.250 0.542
Pb 0.661 0.250 0.749
Pb 0.839 0.750 0.249
Pb 0.856 0.750 0.042
Pb 0.921 0.750 0.642

[5]
Mg2CdPb4: computed PXRD pattern (λ = 1.5418 Å (Cu Kα)), based on a crystal structure in Alexandria, relaxed with GGA-PBE.

Largest 10 diffraction maxima, by angle, 2θ = 5–70°:
| 2theta | I (rel.) |
| --- | --- |
| 25.69 | 1000 |
| 29.52 | 223 |
| 36.45 | 287 |
| 36.85 | 617 |
| 38.99 | 178 |
| 45.47 | 224 |
| 52.10 | 132 |
| 59.90 | 200 |
| 66.16 | 157 |
| 66.38 | 113 |

Cell and atoms:
Unit cell a=10.500 b=10.500 c=10.500 alpha=26.86 beta=26.86 gamma=26.86
Element x y z (fractional)
Mg 0.096 0.096 0.096
Mg 0.904 0.904 0.904
Cd 0.000 0.000 0.000
Pb 0.197 0.197 0.197
Pb 0.379 0.379 0.379
Pb 0.621 0.621 0.621
Pb 0.803 0.803 0.803

[6]
Mg4Cd4Pb: computed PXRD pattern (λ = 1.5418 Å (Cu Kα)), based on a crystal structure in Alexandria, relaxed with GGA-PBE.

Largest 10 diffraction maxima, by angle, 2θ = 5–70°:
| 2theta | I (rel.) |
| --- | --- |
| 18.41 | 288 |
| 21.98 | 362 |
| 29.30 | 180 |
| 34.42 | 1000 |
| 39.31 | 178 |
| 39.67 | 336 |
| 40.50 | 159 |
| 57.99 | 215 |
| 68.63 | 254 |
| 69.77 | 122 |

Cell and atoms:
Unit cell a=7.171 b=7.171 c=7.171 alpha=95.54 beta=95.54 gamma=143.81
Element x y z (fractional)
Mg 0.170 0.170 0.341
Mg 0.170 0.830 0.000
Mg 0.830 0.170 0.000
Mg 0.830 0.830 0.659
Cd 0.163 0.500 0.663
Cd 0.500 0.163 0.663
Cd 0.500 0.837 0.337
Cd 0.837 0.500 0.337
Pb 0.500 0.500 0.000

[7]
MgCd2Pb6: computed PXRD pattern (λ = 1.5418 Å (Cu Kα)), based on a crystal structure in Alexandria, relaxed with GGA-PBE.

Largest 10 diffraction maxima, by angle, 2θ = 5–70°:
| 2theta | I (rel.) |
| --- | --- |
| 28.86 | 506 |
| 29.10 | 316 |
| 32.61 | 495 |
| 33.84 | 330 |
| 34.56 | 1000 |
| 36.82 | 226 |
| 45.05 | 239 |
| 51.13 | 402 |
| 62.23 | 239 |
| 62.73 | 339 |

Cell and atoms:
Unit cell a=3.573 b=3.573 c=23.842 alpha=90.00 beta=90.00 gamma=120.00
Element x y z (fractional)
Mg 0.000 0.000 0.000
Cd 0.333 0.667 0.329
Cd 0.333 0.667 0.671
Pb 0.000 0.000 0.223
Pb 0.000 0.000 0.432
Pb 0.000 0.000 0.568
Pb 0.000 0.000 0.777
Pb 0.333 0.667 0.101
Pb 0.333 0.667 0.899

[8]
MgScCdPb: computed PXRD pattern (λ = 1.5418 Å (Cu Kα)), based on a crystal structure in Alexandria, relaxed with GGA-PBE.

Largest 10 diffraction maxima, by angle, 2θ = 5–70°:
| 2theta | I (rel.) |
| --- | --- |
| 20.82 | 347 |
| 27.21 | 370 |
| 34.51 | 1000 |
| 37.68 | 196 |
| 40.01 | 166 |
| 42.37 | 141 |
| 51.09 | 137 |
| 56.12 | 122 |
| 65.99 | 155 |
| 69.14 | 129 |

Cell and atoms:
Unit cell a=4.266 b=4.507 c=4.774 alpha=90.00 beta=90.00 gamma=90.00
Element x y z (fractional)
Mg 0.000 0.000 0.000
Sc 0.000 0.500 0.500
Cd 0.500 0.500 0.000
Pb 0.500 0.000 0.500

[9]
YMgCdPb: computed PXRD pattern (λ = 1.5418 Å (Cu Kα)), based on a crystal structure in Alexandria, relaxed with GGA-PBE.

Largest 10 diffraction maxima, by angle, 2θ = 5–70°:
| 2theta | I (rel.) |
| --- | --- |
| 18.13 | 136 |
| 20.13 | 182 |
| 26.44 | 194 |
| 33.46 | 1000 |
| 36.73 | 194 |
| 38.73 | 168 |
| 40.92 | 144 |
| 54.44 | 124 |
| 64.08 | 151 |
| 66.76 | 143 |

Cell and atoms:
Unit cell a=4.410 b=4.650 c=4.893 alpha=90.00 beta=90.00 gamma=90.00
Element x y z (fractional)
Y 0.000 0.000 0.000
Mg 0.000 0.500 0.500
Cd 0.500 0.000 0.500
Pb 0.500 0.500 0.000

[10]
Mg2Cd3Pd4: computed PXRD pattern (λ = 1.5418 Å (Cu Kα)), based on a crystal structure in Alexandria, relaxed with GGA-PBE.

Largest 10 diffraction maxima, by angle, 2θ = 5–70°:
| 2theta | I (rel.) |
| --- | --- |
| 20.81 | 73 |
| 24.69 | 178 |
| 38.17 | 1000 |
| 38.47 | 995 |
| 40.54 | 427 |
| 41.21 | 410 |
| 51.26 | 208 |
| 59.18 | 271 |
| 66.90 | 85 |
| 67.75 | 262 |

Cell and atoms:
Unit cell a=4.382 b=4.720 c=8.599 alpha=83.86 beta=89.97 gamma=62.37
Element x y z (fractional)
Mg 0.169 0.161 0.210
Mg 0.831 0.839 0.790
Cd 0.163 0.175 0.565
Cd 0.500 0.500 0.000
Cd 0.837 0.825 0.435
Pd 0.167 0.165 0.891
Pd 0.495 0.511 0.674
Pd 0.505 0.489 0.326
Pd 0.833 0.835 0.109

[11]
Mg3Cd2Pd3: computed PXRD pattern (λ = 1.5418 Å (Cu Kα)), based on a crystal structure in Alexandria, relaxed with GGA-PBE.

Largest 10 diffraction maxima, by angle, 2θ = 5–70°:
| 2theta | I (rel.) |
| --- | --- |
| 10.10 | 90 |
| 24.64 | 158 |
| 25.65 | 144 |
| 38.08 | 1000 |
| 41.22 | 196 |
| 41.82 | 192 |
| 49.36 | 117 |
| 60.17 | 124 |
| 66.20 | 92 |
| 66.63 | 92 |

Cell and atoms:
Unit cell a=9.209 b=9.209 c=9.209 alpha=156.87 beta=152.87 gamma=35.95
Element x y z (fractional)
Mg 0.000 0.000 0.000
Mg 0.384 0.884 0.500
Mg 0.616 0.116 0.500
Cd 0.249 0.249 0.000
Cd 0.751 0.751 0.000
Pd 0.122 0.622 0.500
Pd 0.500 0.500 0.000
Pd 0.878 0.378 0.500

[12]
Mg2CdPd6: computed PXRD pattern (λ = 1.5418 Å (Cu Kα)), based on a crystal structure in Alexandria, relaxed with GGA-PBE.

Largest 10 diffraction maxima, by angle, 2θ = 5–70°:
| 2theta | I (rel.) |
| --- | --- |
| 23.31 | 349 |
| 33.52 | 375 |
| 36.97 | 443 |
| 38.79 | 552 |
| 40.44 | 774 |
| 44.17 | 1000 |
| 47.90 | 139 |
| 52.18 | 207 |
| 63.27 | 120 |
| 69.90 | 177 |

Cell and atoms:
Unit cell a=6.187 b=6.187 c=6.187 alpha=135.92 beta=103.85 gamma=92.42
Element x y z (fractional)
Mg 0.169 0.169 0.000
Mg 0.831 0.831 0.000
Cd 0.500 0.500 0.000
Pd 0.022 0.332 0.690
Pd 0.297 0.000 0.297
Pd 0.358 0.668 0.690
Pd 0.642 0.332 0.310
Pd 0.703 0.000 0.703
Pd 0.978 0.668 0.310